[1]
This entry pairs a crystal structure of TiAs3H with its computed powder XRD pattern. Radiation: copper Kα. Structure: a DFT-relaxed cell (GGA-PBE, Alexandria).
Peak positions follow from Bragg's law for the DFT cell and can differ from measured ones.

Most intense lines, 10° ≤ 2θ ≤ 80°, by intensity:
36.80°, I 100; 42.76°, I 50; 74.39°, I 36; 62.06°, I 32; 78.30°, I 11; 21.00°, I 4; 29.87°, I 3; 48.10°, I 2

Crystal structure
Cell: 4.2297 4.2297 4.2297 Å, 90.00 90.00 90.00°
Sites, in units of the cell vectors:
Ti  0.0000  0.0000  0.0000
As  0.0000  0.5000  0.5000
As  0.5000  0.0000  0.5000
As  0.5000  0.5000  0.0000
H  0.5000  0.5000  0.5000



[2]
This entry pairs a crystal structure of Ti5As2H2 with its computed powder XRD pattern. Radiation: copper Kα. Structure: a DFT-relaxed cell (GGA-PBE, Alexandria).
Peak positions follow from Bragg's law for the DFT cell and can differ from measured ones.

Most intense lines, 10° ≤ 2θ ≤ 80°, by intensity:
37.48°, I 100; 41.41°, I 71; 39.79°, I 43; 40.42°, I 36; 56.14°, I 16; 51.90°, I 15; 71.00°, I 12; 71.43°, I 12

Crystal structure
Cell: 4.9746 4.9746 7.6707 Å, 91.17 91.17 38.46°
Sites, in units of the cell vectors:
Ti  0.0000  0.0000  0.0000
Ti  0.1355  0.1355  0.4483
Ti  0.2685  0.2685  0.8244
Ti  0.7315  0.7315  0.1756
Ti  0.8645  0.8645  0.5517
As  0.4506  0.4506  0.2764
As  0.5494  0.5494  0.7236
H  0.1918  0.1918  0.0518
H  0.8082  0.8082  0.9482



[3]
This entry pairs a crystal structure of Tl5AsH4 with its computed powder XRD pattern. Radiation: copper Kα. Structure: a DFT-relaxed cell (GGA-PBE, Alexandria).
Peak positions follow from Bragg's law for the DFT cell and can differ from measured ones.

Most intense lines, 10° ≤ 2θ ≤ 80°, by intensity:
28.05°, I 100; 32.41°, I 42; 46.68°, I 30; 32.65°, I 24; 55.50°, I 16; 46.62°, I 9; 55.27°, I 8; 77.76°, I 8

Crystal structure
Cell: 6.7457 6.7457 8.7223 Å, 130.09 130.09 47.98°
Sites, in units of the cell vectors:
Tl  0.0000  0.0000  0.0000
Tl  0.1807  0.1590  0.7977
Tl  0.3819  0.3608  0.5416
Tl  0.6392  0.6181  0.4584
Tl  0.8410  0.8193  0.2023
As  0.5027  0.4973  0.0000
H  0.2815  0.5051  0.2841
H  0.4949  0.7185  0.7159
H  0.7799  0.0020  0.4978
H  0.9980  0.2201  0.5022



[4]
This entry pairs a crystal structure of U2AsH with its computed powder XRD pattern. Radiation: copper Kα. Structure: a DFT-relaxed cell (GGA-PBE, Alexandria).
Peak positions follow from Bragg's law for the DFT cell and can differ from measured ones.

Most intense lines, 10° ≤ 2θ ≤ 80°, by intensity:
34.48°, I 100; 29.20°, I 62; 22.02°, I 57; 39.13°, I 56; 29.91°, I 51; 51.33°, I 39; 70.54°, I 30; 56.50°, I 29

Crystal structure
Cell: 3.5601 3.5601 24.2227 Å, 90.00 90.00 120.00°
Sites, in units of the cell vectors:
U  0.0000  0.0000  0.0866
U  0.0000  0.0000  0.9134
U  0.3333  0.6667  0.5801
U  0.3333  0.6667  0.7532
U  0.6667  0.3333  0.2468
U  0.6667  0.3333  0.4199
As  0.0000  0.0000  0.5000
As  0.3333  0.6667  0.1667
As  0.6667  0.3333  0.8333
H  0.0000  0.0000  0.0000
H  0.3333  0.6667  0.6667
H  0.6667  0.3333  0.3333



[5]
This entry pairs a crystal structure of V2AsH2 with its computed powder XRD pattern. Radiation: copper Kα. Structure: a DFT-relaxed cell (GGA-PBE, Alexandria).
Peak positions follow from Bragg's law for the DFT cell and can differ from measured ones.

Most intense lines, 10° ≤ 2θ ≤ 80°, by intensity:
38.02°, I 100; 39.40°, I 97; 48.79°, I 49; 42.09°, I 39; 62.47°, I 22; 66.36°, I 18; 70.53°, I 15; 22.19°, I 15

Crystal structure
Cell: 5.9705 5.0735 4.9509 Å, 73.10 54.40 52.50°
Sites, in units of the cell vectors:
V  0.0576  0.6924  0.0576
V  0.3076  0.9424  0.3076
V  0.6924  0.0576  0.6924
V  0.9424  0.3076  0.9424
As  0.3750  0.3750  0.3750
As  0.6250  0.6250  0.6250
H  0.0047  0.0047  0.2453
H  0.2453  0.2453  0.0047
H  0.7547  0.7547  0.9953
H  0.9953  0.9953  0.7547



[6]
This entry pairs a crystal structure of V3AsH2 with its computed powder XRD pattern. Radiation: copper Kα. Structure: a DFT-relaxed cell (GGA-PBE, Alexandria).
Peak positions follow from Bragg's law for the DFT cell and can differ from measured ones.

Most intense lines, 10° ≤ 2θ ≤ 80°, by intensity:
36.42°, I 100; 40.42°, I 59; 41.74°, I 55; 48.63°, I 45; 39.75°, I 42; 31.55°, I 40; 50.43°, I 38; 37.53°, I 23

Crystal structure
Cell: 4.8069 3.0019 8.6773 Å, 90.00 94.19 90.00°
Sites, in units of the cell vectors:
V  0.0336  0.2500  0.3513
V  0.2427  0.2500  0.9221
V  0.3904  0.2500  0.6191
V  0.6096  0.7500  0.3809
V  0.7573  0.7500  0.0779
V  0.9664  0.7500  0.6487
As  0.2664  0.7500  0.1538
As  0.7336  0.2500  0.8462
H  0.2872  0.7500  0.7710
H  0.4048  0.2500  0.4172
H  0.5952  0.7500  0.5828
H  0.7128  0.2500  0.2290



[7]
This entry pairs a crystal structure of Zn2AsH with its computed powder XRD pattern. Radiation: copper Kα. Structure: a DFT-relaxed cell (GGA-PBE, Alexandria).
Peak positions follow from Bragg's law for the DFT cell and can differ from measured ones.

Most intense lines, 10° ≤ 2θ ≤ 80°, by intensity:
29.25°, I 100; 36.43°, I 86; 47.96°, I 72; 20.83°, I 59; 28.05°, I 58; 38.26°, I 54; 42.37°, I 50; 46.18°, I 45

Crystal structure
Cell: 4.0672 4.0703 4.3381 Å, 81.69 81.58 74.63°
Sites, in units of the cell vectors:
Zn  0.0000  0.0000  0.0000
Zn  0.4248  0.4258  0.6401
As  0.6111  0.6094  0.0963
H  0.1693  0.1649  0.6302



[8]
This entry pairs a crystal structure of Zr4As2H with its computed powder XRD pattern. Radiation: copper Kα. Structure: a DFT-relaxed cell (GGA-PBE, Alexandria).
Peak positions follow from Bragg's law for the DFT cell and can differ from measured ones.

Most intense lines, 10° ≤ 2θ ≤ 80°, by intensity:
33.49°, I 100; 39.67°, I 87; 44.70°, I 59; 36.16°, I 37; 58.79°, I 35; 37.45°, I 26; 78.97°, I 22; 65.07°, I 19

Crystal structure
Cell: 4.0543 4.0543 14.9040 Å, 90.00 90.00 90.00°
Sites, in units of the cell vectors:
Zr  0.0000  0.0000  0.1763
Zr  0.0000  0.0000  0.8237
Zr  0.0000  0.5000  0.0000
Zr  0.0000  0.5000  0.5000
Zr  0.5000  0.0000  0.0000
Zr  0.5000  0.0000  0.5000
Zr  0.5000  0.5000  0.3237
Zr  0.5000  0.5000  0.6763
As  0.0000  0.0000  0.3612
As  0.0000  0.0000  0.6388
As  0.5000  0.5000  0.1388
As  0.5000  0.5000  0.8612
H  0.0000  0.0000  0.0000
H  0.5000  0.5000  0.5000



[9]
This entry pairs a crystal structure of HfAs with its computed powder XRD pattern. Radiation: copper Kα. Structure: a DFT-relaxed cell (GGA-PBE, Alexandria).
Peak positions follow from Bragg's law for the DFT cell and can differ from measured ones.

Most intense lines, 10° ≤ 2θ ≤ 80°, by intensity:
38.87°, I 100; 27.14°, I 52; 47.95°, I 38; 63.36°, I 24; 30.45°, I 19; 77.03°, I 19; 56.01°, I 15; 63.60°, I 10

Crystal structure
Cell: 3.7946 3.7946 6.5347 Å, 90.00 90.00 120.00°
Sites, in units of the cell vectors:
Hf  0.0000  0.0000  0.0000
Hf  0.0000  0.0000  0.5000
As  0.3333  0.6667  0.2500
As  0.6667  0.3333  0.7500



[10]
This entry pairs a crystal structure of KHfAs2S8 with its computed powder XRD pattern. Radiation: copper Kα. Structure: a DFT-relaxed cell (GGA-PBE, Alexandria).
Peak positions follow from Bragg's law for the DFT cell and can differ from measured ones.

Most intense lines, 10° ≤ 2θ ≤ 80°, by intensity:
19.16°, I 100; 25.73°, I 75; 28.65°, I 49; 49.90°, I 39; 50.76°, I 32; 35.00°, I 26; 49.01°, I 26; 38.89°, I 26

Crystal structure
Cell: 6.2308 6.2308 9.0275 Å, 90.00 90.00 120.00°
Sites, in units of the cell vectors:
K  0.0000  0.0000  0.0000
Hf  0.0000  0.0000  0.5000
As  0.3333  0.6667  0.7292
As  0.6667  0.3333  0.2708
S  0.0134  0.6763  0.3343
S  0.3237  0.3371  0.3343
S  0.3333  0.6667  0.9690
S  0.3371  0.0134  0.6657
S  0.6629  0.9866  0.3343
S  0.6667  0.3333  0.0310
S  0.6763  0.6629  0.6657
S  0.9866  0.3237  0.6657



[11]
This entry pairs a crystal structure of La2HfAs3 with its computed powder XRD pattern. Radiation: copper Kα. Structure: a DFT-relaxed cell (GGA-PBE, Alexandria).
Peak positions follow from Bragg's law for the DFT cell and can differ from measured ones.

Most intense lines, 10° ≤ 2θ ≤ 80°, by intensity:
30.00°, I 100; 43.27°, I 70; 30.45°, I 46; 53.55°, I 38; 42.95°, I 37; 26.04°, I 29; 78.93°, I 24; 70.73°, I 17

Crystal structure
Cell: 4.2120 4.2120 17.6148 Å, 90.00 90.00 90.00°
Sites, in units of the cell vectors:
La  0.0000  0.0000  0.1660
La  0.0000  0.0000  0.8340
La  0.5000  0.5000  0.3340
La  0.5000  0.5000  0.6660
Hf  0.0000  0.0000  0.5000
Hf  0.5000  0.5000  0.0000
As  0.0000  0.0000  0.0000
As  0.0000  0.0000  0.3447
As  0.0000  0.0000  0.6553
As  0.5000  0.5000  0.1553
As  0.5000  0.5000  0.5000
As  0.5000  0.5000  0.8447